[1]
Simulated X-ray powder pattern of NaNiF4 for copper Kα, from a DFT-relaxed cell (GGA+U, Alexandria).
Neutral-atom scattering factors, no anomalous dispersion.

Crystal structure
```
data_NaNiF4
_chemical_formula_sum 'Na2 Ni2 F8'
_space_group_name_H-M_alt 'I -4'
_space_group_IT_number 82
_cell_length_a 5.6811
_cell_length_b 5.6811
_cell_length_c 5.6739
_cell_angle_alpha 90.00
_cell_angle_beta 90.00
_cell_angle_gamma 90.00
loop_
_space_group_symop_operation_xyz
'x,y,z'
'y,-x,-z'
'-x,-y,z'
'-y,x,-z'
'x+1/2,y+1/2,z+1/2'
'y+1/2,-x+1/2,-z+1/2'
'-x+1/2,-y+1/2,z+1/2'
'-y+1/2,x+1/2,-z+1/2'
loop_
_atom_site_label
_atom_site_fract_x
_atom_site_fract_y
_atom_site_fract_z
_atom_site_occupancy
Na1 0.0000 0.0000 0.0000 1
Ni1 0.0000 0.5000 0.7500 1
F1 0.2189 0.7212 0.7493 1
```

Peak list (10 most intense, 2θ = 10–90°, in order of rising 2θ)
- 2θ 22.14, rel. 1000, (1 0 1)
- 2θ 31.53, rel. 189, (0 0 2)
- 2θ 38.85, rel. 421, (1 1 2)
- 2θ 45.14, rel. 226, (2 2 0)
- 2θ 50.87, rel. 113, (1 0 3)
- 2θ 56.10, rel. 92, (2 2 2)
- 2θ 61.05, rel. 278, (2 3 1)
- 2θ 65.78, rel. 82, (0 0 4)
- 2θ 79.10, rel. 92, (3 3 2)
- 2θ 87.59, rel. 81, (5 0 1)

---

[2]
Simulated X-ray powder pattern of Na4NiP2O7F2 for copper Kα, from a DFT-relaxed cell (GGA+U, Alexandria).
Neutral-atom scattering factors, no anomalous dispersion.

Crystal structure
```
data_Na4NiP2O7F2
_chemical_formula_sum 'Na16 Ni4 P8 O28 F8'
_space_group_name_H-M_alt 'I m m a'
_space_group_IT_number 74
_space_group_name_Hall '-I 2b 2'
_cell_length_a 7.1335
_cell_length_b 15.1576
_cell_length_c 7.8570
_cell_angle_alpha 90.00
_cell_angle_beta 90.00
_cell_angle_gamma 90.00
loop_
_atom_site_label
_atom_site_fract_x
_atom_site_fract_y
_atom_site_fract_z
_atom_site_occupancy
Na1 0.0000 0.1388 0.0492 1
Na2 0.2500 0.0163 0.7500 1
Ni1 0.2500 0.2500 0.7500 1
P1 0.0000 0.1529 0.4700 1
O1 0.0000 0.0857 0.3267 1
O2 0.0000 0.2500 0.3720 1
O3 0.1795 0.1497 0.5786 1
F1 0.0000 0.0000 0.0000 1
F2 0.0000 0.2500 0.8673 1
```

Peak list (10 most intense, 2θ = 10–90°, in order of rising 2θ)
- 2θ 11.68, rel. 692, (0 2 0)
- 2θ 12.69, rel. 856, (0 1 1)
- 2θ 20.90, rel. 509, (0 3 1)
- 2θ 28.10, rel. 1000, (2 1 1)
- 2θ 32.84, rel. 838, (0 4 2)
- 2θ 33.95, rel. 704, (2 0 2)
- 2θ 34.53, rel. 331, (2 4 0)
- 2θ 42.55, rel. 274, (0 6 2)
- 2θ 51.22, rel. 274, (4 0 0)
- 2θ 52.85, rel. 416, (2 5 3)